Entry 1:
This entry pairs a crystal structure of BaRh2Br with its simulated X-ray powder pattern. Radiation: Cu Kα. Structure: a cell relaxed with GGA-PBE.
No peak broadening, texture or thermal motion is included.

Crystal structure
```
BaRh2Br
1.0
-2.6106 2.6106 8.0333
2.6106 -2.6106 8.0333
2.6106 2.6106 -8.0333
Ba Rh Br
2 4 2
Cartesian
0.0000 0.0000 0.0000 Ba
0.0000 2.6106 4.0166 Ba
1.3053 -0.2329 6.0249 Rh
2.3778 1.3053 2.0083 Rh
1.3053 2.8435 -2.0083 Rh
0.2329 1.3053 10.0416 Rh
2.6106 0.0000 4.0166 Br
0.0000 0.0000 8.0333 Br
```

Main lines, by angle (10° ≤ 2θ ≤ 90°):
2θ = 17.86°, rel. 25; 2θ = 23.80°, rel. 50; 2θ = 26.57°, rel. 100; 2θ = 32.72°, rel. 22; 2θ = 36.18°, rel. 34; 2θ = 38.98°, rel. 32; 2θ = 41.24°, rel. 33; 2θ = 41.67°, rel. 29; 2θ = 54.72°, rel. 41; 2θ = 56.94°, rel. 23

***

Entry 2:
This entry pairs a crystal structure of Ba9S2Br14 with its simulated X-ray powder pattern. Radiation: Cu Kα. Structure: a cell relaxed with GGA-PBE.
No peak broadening, texture or thermal motion is included.

Crystal structure
```
Ba9S2Br14
1.0
9.5163 0.0000 0.0000
-4.7582 8.2414 0.0000
0.0000 0.0000 13.2119
Ba S Br
9 2 14
Cartesian
0.0000 0.0000 0.0000 Ba
-1.1210 2.9243 4.4870 Ba
-1.6652 7.7501 4.4870 Ba
0.0000 5.4943 0.4498 Ba
1.9720 2.4330 8.7250 Ba
2.7862 5.8084 4.4870 Ba
4.7582 2.7471 12.7622 Ba
6.4233 0.4913 8.7250 Ba
5.8792 5.3171 8.7250 Ba
0.0000 5.4943 3.4362 S
4.7582 2.7471 9.7757 S
0.0000 0.0000 3.3631 Br
0.0000 0.0000 9.8489 Br
-2.9217 5.5961 12.0030 Br
-1.1985 3.1485 7.8415 Br
-1.4323 7.7050 7.8415 Br
1.3727 2.9131 12.0030 Br
3.2091 0.2678 1.2089 Br
2.1275 2.6121 5.3705 Br
2.6307 5.6292 7.8415 Br
1.5490 7.9736 12.0030 Br
3.3855 5.3283 1.2089 Br
6.1904 0.5364 5.3705 Br
5.9566 5.0929 5.3705 Br
7.6799 2.6453 1.2089 Br
```

Main lines, by angle (10° ≤ 2θ ≤ 90°):
2θ = 19.83°, rel. 93; 2θ = 20.16°, rel. 35; 2θ = 28.66°, rel. 18; 2θ = 29.46°, rel. 31; 2θ = 32.60°, rel. 87; 2θ = 33.01°, rel. 100; 2θ = 35.30°, rel. 17; 2θ = 38.63°, rel. 24; 2θ = 47.07°, rel. 23; 2θ = 59.22°, rel. 17